For CuPdAu2, a crystal structure in Alexandria, relaxed with PBE gives the simulated PXRD pattern in this record (CuKα).

Peak list (8 most intense, 2θ = 5–70°, by intensity)
d_spacing, Rel. int.
2.257, 100.0
2.090, 66.8
2.445, 34.0
4.508, 26.7
1.435, 24.4
2.475, 18.6
1.525, 13.1
2.003, 8.5

Crystal structure
a = 9.167 Å, b = 9.167 Å, c = 9.167 Å
α = 18.01°, β = 18.01°, γ = 18.01°
Sites, in units of the cell vectors:
1 Cu 0.000 0.000 0.000
2 Pd 0.167 0.167 0.167
3 Au 0.587 0.587 0.587
4 Au 0.746 0.746 0.746

=====

For Cu3Pd2Au3, a crystal structure in Alexandria, relaxed with PBE gives the simulated PXRD pattern in this record (CuKα).

Peak list (8 most intense, 2θ = 5–70°, by intensity)
d_spacing, Rel. int.
2.268, 100.0
2.029, 18.0
2.009, 17.2
3.637, 16.8
1.867, 13.8
1.427, 11.3
1.374, 10.5
3.234, 10.0

Crystal structure
a = 8.495 Å, b = 8.495 Å, c = 8.495 Å
α = 154.61°, β = 152.37°, γ = 37.87°
Sites, in units of the cell vectors:
1 Cu 0.000 0.000 0.000
2 Cu 0.372 0.872 0.500
3 Cu 0.628 0.128 0.500
4 Pd 0.253 0.253 0.000
5 Pd 0.747 0.747 0.000
6 Au 0.123 0.623 0.500
7 Au 0.500 0.500 0.000
8 Au 0.877 0.377 0.500

=====

For CuPd8Au2, a crystal structure in Alexandria, relaxed with PBE gives the simulated PXRD pattern in this record (CuKα).

Peak list (8 most intense, 2θ = 5–70°, by intensity)
d_spacing, Rel. int.
2.271, 100.0
2.223, 86.4
2.114, 41.9
2.155, 33.4
1.509, 21.2
1.683, 20.7
1.347, 17.7
4.227, 15.4

Crystal structure
a = 6.733 Å, b = 6.733 Å, c = 4.227 Å
α = 90.00°, β = 90.00°, γ = 106.22°
Sites, in units of the cell vectors:
1 Cu 0.000 0.000 0.000
2 Pd 0.038 0.295 0.500
3 Pd 0.232 0.768 0.000
4 Pd 0.295 0.038 0.500
5 Pd 0.324 0.324 0.000
6 Pd 0.676 0.676 0.000
7 Pd 0.705 0.962 0.500
8 Pd 0.768 0.232 0.000
9 Pd 0.962 0.705 0.500
10 Au 0.375 0.625 0.500
11 Au 0.625 0.375 0.500

=====

For PrCuPd3Au, a crystal structure in Alexandria, relaxed with PBE gives the simulated PXRD pattern in this record (CuKα).

Peak list (8 most intense, 2θ = 5–70°, by intensity)
d_spacing, Rel. int.
2.006, 100.0
2.214, 86.4
2.205, 85.3
2.640, 57.4
2.624, 56.5
1.525, 42.2
2.348, 41.1
3.859, 31.1

Crystal structure
a = 7.590 Å, b = 7.590 Å, c = 5.694 Å
α = 90.00°, β = 90.00°, γ = 136.25°
Sites, in units of the cell vectors:
1 Pr 0.161 0.839 0.750
2 Pr 0.839 0.161 0.250
3 Cu 0.126 0.874 0.250
4 Cu 0.874 0.126 0.750
5 Pd 0.250 0.250 0.000
6 Pd 0.250 0.250 0.500
7 Pd 0.321 0.679 0.250
8 Pd 0.679 0.321 0.750
9 Pd 0.750 0.750 0.000
10 Pd 0.750 0.750 0.500
11 Au 0.365 0.635 0.750
12 Au 0.635 0.365 0.250